1.
Structure and computed PXRD pattern of TbAlHg2 (DFT lattice parameters and positions (GGA-PBE); Cu Kα).

Structural model:
Cell: 6.5335 6.5335 4.8438 Å, 90.00 90.00 119.99°
Fractional positions:
1 Tb 0.1669 0.8331 0.7500
2 Tb 0.8331 0.1669 0.2500
3 Al 0.3488 0.6512 0.2500
4 Al 0.6512 0.3488 0.7500
5 Hg 0.1696 0.3463 0.7500
6 Hg 0.3463 0.1696 0.2500
7 Hg 0.6537 0.8304 0.7500
8 Hg 0.8304 0.6537 0.2500

Peak list (10 most intense, 2θ = 10–90°, in order of rising 2θ)
- 3.680 Å, I = 26
- 3.267 Å, I = 11
- 2.829 Å, I = 25
- 2.443 Å, I = 100
- 2.422 Å, I = 22
- 1.840 Å, I = 15
- 1.633 Å, I = 19
- 1.402 Å, I = 18
- 1.358 Å, I = 16
- 1.354 Å, I = 21

2.
Structure and computed PXRD pattern of Al3TcHg (DFT lattice parameters and positions (GGA-PBE); Cu Kα).

Structural model:
Cell: 13.0525 13.0525 3.5192 Å, 90.00 90.00 161.65°
Fractional positions:
1 Al 0.0490 0.9510 0.0000
2 Al 0.2161 0.7839 0.5000
3 Al 0.4401 0.5599 0.5000
4 Al 0.5599 0.4401 0.5000
5 Al 0.7839 0.2161 0.5000
6 Al 0.9510 0.0490 0.0000
7 Tc 0.1182 0.8818 0.5000
8 Tc 0.8818 0.1182 0.5000
9 Hg 0.3404 0.6596 0.0000
10 Hg 0.6596 0.3404 0.0000

Peak list (10 most intense, 2θ = 10–90°, in order of rising 2θ)
- 6.443 Å, I = 99
- 4.295 Å, I = 17
- 3.746 Å, I = 22
- 2.722 Å, I = 35
- 2.673 Å, I = 23
- 2.565 Å, I = 100
- 2.359 Å, I = 39
- 2.171 Å, I = 29
- 2.081 Å, I = 37
- 1.790 Å, I = 17